(1)
Simulated X-ray powder pattern of Hf4PbC for Cu Kα (weighted mean of Kα1 and Kα2), from a PBE-relaxed structure.
No peak broadening, texture or thermal motion is included.

Cell: 5.189 3.275 7.751 Å, 90.00 108.00 90.00°
Atoms (fractional coordinates):
Hf (0.158, 0.000, 0.235)
Hf (0.286, 0.500, 0.593)
Hf (0.714, 0.500, 0.407)
Hf (0.842, 0.000, 0.765)
Pb (0.500, 0.500, 0.000)
C (0.500, 0.000, 0.500)

Largest 10 diffraction maxima, low angle first, 2θ from 5° to 70°:
32.8 deg, I 36.1; 33.0 deg, I 70.2; 34.6 deg, I 100.0; 35.4 deg, I 53.3; 36.7 deg, I 57.1; 50.8 deg, I 26.3; 51.8 deg, I 15.6; 63.1 deg, I 17.2; 67.7 deg, I 29.2; 68.2 deg, I 16.3


(2)
Simulated X-ray powder pattern of Sr3Zn4Cu2 for Cu Kα (weighted mean of Kα1 and Kα2), from a PBE-relaxed structure.
No peak broadening, texture or thermal motion is included.

Cell: 6.056 6.056 8.992 Å, 106.95 106.95 44.18°
Atoms (fractional coordinates):
Sr (0.000, 0.000, 0.000)
Sr (0.373, 0.373, 0.314)
Sr (0.627, 0.627, 0.686)
Zn (0.122, 0.122, 0.419)
Zn (0.274, 0.274, 0.933)
Zn (0.726, 0.726, 0.067)
Zn (0.878, 0.878, 0.581)
Cu (0.334, 0.334, 0.682)
Cu (0.666, 0.666, 0.318)

Largest 10 diffraction maxima, low angle first, 2θ from 5° to 70°:
31.0 deg, I 58.2; 31.4 deg, I 44.8; 31.7 deg, I 100.0; 31.9 deg, I 71.1; 33.6 deg, I 36.9; 38.4 deg, I 43.6; 39.1 deg, I 84.0; 39.6 deg, I 63.7; 56.4 deg, I 29.1; 61.4 deg, I 33.9